# 1
Theoretical powder diffraction line list of Ga3Cu2Ag4 for Cu Ka, from a DFT-relaxed cell (GGA-PBE, Alexandria).
Peak positions follow from Bragg's law for the DFT cell and can differ from measured ones.

Largest 10 diffraction maxima, in order of rising 2θ, 10° ≤ 2θ ≤ 90°:
2θ 35.89, d = 2.502 Å, I = 213; 2θ 37.15, d = 2.420 Å, I = 549; 2θ 38.52, d = 2.337 Å, I = 624; 2θ 39.21, d = 2.298 Å, I = 556; 2θ 40.84, d = 2.210 Å, I = 1000; 2θ 46.50, d = 1.953 Å, I = 340; 2θ 48.23, d = 1.887 Å, I = 260; 2θ 70.56, d = 1.335 Å, I = 163; 2θ 71.25, d = 1.324 Å, I = 146; 2θ 88.52, d = 1.105 Å, I = 138

Atomic structure:
```
data_Ga3Cu2Ag4
_chemical_formula_sum 'Ga12 Cu8 Ag16'
_cell_length_a 13.498
_cell_length_b 9.350
_cell_length_c 4.740
_cell_angle_alpha 90.00
_cell_angle_beta 100.08
_cell_angle_gamma 90.00
_space_group_name_H-M_alt 'C 1 2/c 1'
_space_group_IT_number 15
_space_group_name_Hall '-C 2yc'
loop_
_atom_site_label
_atom_site_fract_x
_atom_site_fract_y
_atom_site_fract_z
Ga1 0.000 0.114 0.250
Ga2 0.176 0.358 0.068
Cu1 0.096 0.130 0.827
Ag1 0.065 0.378 0.529
Ag2 0.211 0.108 0.391
```



# 2
Theoretical powder diffraction line list of Ho4GaCuAg2 for Cu Ka, from a DFT-relaxed cell (GGA-PBE, Alexandria).
Peak positions follow from Bragg's law for the DFT cell and can differ from measured ones.

Largest 10 diffraction maxima, in order of rising 2θ, 10° ≤ 2θ ≤ 90°:
2θ 24.93, d = 3.571 Å, I = 94; 2θ 35.55, d = 2.525 Å, I = 1000; 2θ 43.91, d = 2.062 Å, I = 29; 2θ 51.16, d = 1.786 Å, I = 174; 2θ 57.72, d = 1.597 Å, I = 41; 2θ 63.83, d = 1.458 Å, I = 261; 2θ 63.89, d = 1.457 Å, I = 89; 2θ 75.20, d = 1.263 Å, I = 52; 2θ 75.32, d = 1.262 Å, I = 55; 2θ 86.10, d = 1.129 Å, I = 153

Atomic structure:
```
data_Ho4GaCuAg2
_chemical_formula_sum 'Ho12 Ga3 Cu3 Ag6'
_cell_length_a 5.0473
_cell_length_b 5.0473
_cell_length_c 24.7739
_cell_angle_alpha 90.00
_cell_angle_beta 90.00
_cell_angle_gamma 120.00
_space_group_name_H-M_alt 'R -3 m'
_space_group_IT_number 166
_space_group_name_Hall '-R 3 2"'
loop_
_atom_site_label
_atom_site_fract_x
_atom_site_fract_y
_atom_site_fract_z
Ho1 0.0000 0.0000 0.1222
Ho2 0.0000 0.0000 0.3726
Ga1 0.0000 0.0000 0.5000
Cu1 0.0000 0.0000 0.0000
Ag1 0.0000 0.0000 0.2477
```



# 3
Theoretical powder diffraction line list of InGaCuAgSe4 for Cu Ka, from a DFT-relaxed cell (GGA-PBE, Alexandria).
Peak positions follow from Bragg's law for the DFT cell and can differ from measured ones.

Largest 10 diffraction maxima, in order of rising 2θ, 10° ≤ 2θ ≤ 90°:
2θ 26.18, d = 3.404 Å, I = 1000; 2θ 42.93, d = 2.107 Å, I = 245; 2θ 43.65, d = 2.074 Å, I = 482; 2θ 50.98, d = 1.791 Å, I = 291; 2θ 52.23, d = 1.751 Å, I = 143; 2θ 62.34, d = 1.490 Å, I = 73; 2θ 69.84, d = 1.347 Å, I = 110; 2θ 79.17, d = 1.210 Å, I = 141; 2θ 80.66, d = 1.191 Å, I = 74; 2θ 84.62, d = 1.145 Å, I = 59

Atomic structure:
```
data_InGaCuAgSe4
_chemical_formula_sum 'In2 Ga2 Cu2 Ag2 Se8'
_cell_length_a 5.958
_cell_length_b 5.958
_cell_length_c 11.554
_cell_angle_alpha 90.00
_cell_angle_beta 90.00
_cell_angle_gamma 90.00
_space_group_name_H-M_alt 'I -4'
_space_group_IT_number 82
_space_group_name_Hall 'I -4'
loop_
_atom_site_label
_atom_site_fract_x
_atom_site_fract_y
_atom_site_fract_z
In1 0.000 0.000 0.000
Ga1 0.000 0.500 0.750
Cu1 0.000 0.000 0.500
Ag1 0.000 0.500 0.250
Se1 0.221 0.751 0.624
```



# 4
Theoretical powder diffraction line list of Pm2Ga3Cu12Ag for Cu Ka, from a DFT-relaxed cell (GGA-PBE, Alexandria).
Peak positions follow from Bragg's law for the DFT cell and can differ from measured ones.

Largest 10 diffraction maxima, in order of rising 2θ, 10° ≤ 2θ ≤ 90°:
2θ 16.68, d = 5.315 Å, I = 397; 2θ 24.92, d = 3.573 Å, I = 205; 2θ 26.77, d = 3.331 Å, I = 459; 2θ 30.57, d = 2.925 Å, I = 463; 2θ 34.26, d = 2.618 Å, I = 204; 2θ 42.72, d = 2.116 Å, I = 1000; 2θ 43.25, d = 2.092 Å, I = 614; 2θ 46.96, d = 1.935 Å, I = 244; 2θ 51.96, d = 1.760 Å, I = 229; 2θ 67.85, d = 1.381 Å, I = 198

Atomic structure:
```
data_Pm2Ga3Cu12Ag
_chemical_formula_sum 'Pm6 Ga9 Cu36 Ag3'
_cell_length_a 8.4660
_cell_length_b 8.4660
_cell_length_c 15.9460
_cell_angle_alpha 90.00
_cell_angle_beta 90.00
_cell_angle_gamma 120.00
_space_group_name_H-M_alt 'R -3 m'
_space_group_IT_number 166
_space_group_name_Hall '-R 3 2"'
loop_
_atom_site_label
_atom_site_fract_x
_atom_site_fract_y
_atom_site_fract_z
Pm1 0.0000 0.0000 0.1006
Ga1 0.0000 0.5000 0.0000
Cu1 0.0033 0.5016 0.8468
Cu2 0.0681 0.5341 0.4197
Ag1 0.0000 0.0000 0.5000
```



# 5
Theoretical powder diffraction line list of Pr2Ga6CuAg for Cu Ka, from a DFT-relaxed cell (GGA-PBE, Alexandria).
Peak positions follow from Bragg's law for the DFT cell and can differ from measured ones.

Largest 10 diffraction maxima, in order of rising 2θ, 10° ≤ 2θ ≤ 90°:
2θ 27.99, d = 3.188 Å, I = 792; 2θ 29.60, d = 3.018 Å, I = 615; 2θ 29.75, d = 3.004 Å, I = 465; 2θ 34.79, d = 2.578 Å, I = 1000; 2θ 36.94, d = 2.433 Å, I = 922; 2θ 41.19, d = 2.192 Å, I = 509; 2θ 43.66, d = 2.073 Å, I = 233; 2θ 54.57, d = 1.682 Å, I = 289; 2θ 57.84, d = 1.594 Å, I = 425; 2θ 66.35, d = 1.409 Å, I = 344

Atomic structure:
```
data_Pr2Ga6CuAg
_chemical_formula_sum 'Pr12 Ga36 Cu6 Ag6'
_cell_length_a 6.3763
_cell_length_b 6.3763
_cell_length_c 36.0426
_cell_angle_alpha 90.00
_cell_angle_beta 90.00
_cell_angle_gamma 120.00
_space_group_name_H-M_alt 'R -3 m'
_space_group_IT_number 166
_space_group_name_Hall '-R 3 2"'
loop_
_atom_site_label
_atom_site_fract_x
_atom_site_fract_y
_atom_site_fract_z
Pr1 0.0000 0.0000 0.1138
Pr2 0.0000 0.0000 0.2943
Ga1 0.0475 0.5238 0.2907
Ga2 0.0675 0.5338 0.8747
Cu1 0.0000 0.0000 0.4292
Ag1 0.0000 0.0000 0.0000
Ag2 0.0000 0.0000 0.5000
```



# 6
Theoretical powder diffraction line list of PrGa4CuAg2 for Cu Ka, from a DFT-relaxed cell (GGA-PBE, Alexandria).
Peak positions follow from Bragg's law for the DFT cell and can differ from measured ones.

Largest 10 diffraction maxima, in order of rising 2θ, 10° ≤ 2θ ≤ 90°:
2θ 26.71, d = 3.338 Å, I = 155; 2θ 28.63, d = 3.118 Å, I = 185; 2θ 35.87, d = 2.504 Å, I = 950; 2θ 40.28, d = 2.239 Å, I = 1000; 2θ 44.61, d = 2.031 Å, I = 132; 2θ 55.02, d = 1.669 Å, I = 267; 2θ 59.06, d = 1.564 Å, I = 99; 2θ 70.36, d = 1.338 Å, I = 248; 2θ 73.22, d = 1.293 Å, I = 161; 2θ 87.05, d = 1.119 Å, I = 103

Atomic structure:
```
data_PrGa4CuAg2
_chemical_formula_sum 'Pr3 Ga12 Cu3 Ag6'
_cell_length_a 4.4779
_cell_length_b 4.4779
_cell_length_c 26.2307
_cell_angle_alpha 90.00
_cell_angle_beta 90.00
_cell_angle_gamma 120.00
_space_group_name_H-M_alt 'R -3 m'
_space_group_IT_number 166
_space_group_name_Hall '-R 3 2"'
loop_
_atom_site_label
_atom_site_fract_x
_atom_site_fract_y
_atom_site_fract_z
Pr1 0.0000 0.0000 0.0000
Ga1 0.0000 0.0000 0.1306
Ga2 0.0000 0.0000 0.3994
Cu1 0.0000 0.0000 0.5000
Ag1 0.0000 0.0000 0.2410
```